Entry 1:
# Ca3In2Ga4
Calculated powder diffraction line list, copper Kα. Input: a structure optimized by DFT (PBE).
Peak positions follow from Bragg's law for the DFT cell and can differ from measured ones.

Structure:
```
data_Ca3In2Ga4
_chemical_formula_sum 'Ca6 In4 Ga8'
_cell_length_a 4.6785
_cell_length_b 4.6785
_cell_length_c 22.7311
_cell_angle_alpha 90.00
_cell_angle_beta 90.00
_cell_angle_gamma 120.00
_symmetry_space_group_name_H-M 'P 3 m 1'
_symmetry_Int_Tables_number 156
loop_
_symmetry_equiv_pos_as_xyz
'x,y,z'
'-y,x-y,z'
'-x+y,-x,z'
'-y,-x,z'
'-x+y,y,z'
'x,x-y,z'
loop_
_atom_site_label
_atom_site_type_symbol
_atom_site_fract_x
_atom_site_fract_y
_atom_site_fract_z
_atom_site_occupancy
Ca1 Ca 0.0000 0.0000 0.0000 1
Ca2 Ca 0.0000 0.0000 0.1591 1
Ca3 Ca 0.0000 0.0000 0.3358 1
Ca4 Ca 0.0000 0.0000 0.4964 1
Ca5 Ca 0.0000 0.0000 0.6676 1
Ca6 Ca 0.0000 0.0000 0.8297 1
In1 In 0.3333 0.6667 0.2291 1
In2 In 0.6667 0.3333 0.2655 1
In3 In 0.6667 0.3333 0.5942 1
In4 In 0.6667 0.3333 0.9273 1
Ga1 Ga 0.3333 0.6667 0.0941 1
Ga2 Ga 0.3333 0.6667 0.4296 1
Ga3 Ga 0.3333 0.6667 0.5617 1
Ga4 Ga 0.3333 0.6667 0.7628 1
Ga5 Ga 0.3333 0.6667 0.8948 1
Ga6 Ga 0.6667 0.3333 0.0660 1
Ga7 Ga 0.6667 0.3333 0.4009 1
Ga8 Ga 0.6667 0.3333 0.7334 1
```

Main lines, most intense first (2θ from 10° to 80°):
hkl 1 1 0, 2.339 Å, 2θ = 38.48°, I = 100; hkl 0 1 6, 2.767 Å, 2θ = 32.35°, I = 94; hkl 1 0 9, 2.143 Å, 2θ = 42.16°, I = 45; hkl 0 1 15, 1.420 Å, 2θ = 65.78°, I = 40; hkl 0 1 3, 3.573 Å, 2θ = 24.92°, I = 32; hkl 1 1 6, 1.990 Å, 2θ = 45.58°, I = 29; hkl 0 0 6, 3.789 Å, 2θ = 23.48°, I = 27; hkl 2 0 6, 1.786 Å, 2θ = 51.13°, I = 24; hkl 1 0 0, 4.052 Å, 2θ = 21.94°, I = 19; hkl 2 1 9, 1.309 Å, 2θ = 72.13°, I = 17

***

Entry 2:
# Ca3Ga3Ir2
Calculated powder diffraction line list, copper Kα. Input: a structure optimized by DFT (PBE).
Peak positions follow from Bragg's law for the DFT cell and can differ from measured ones.

Structure:
```
data_Ca3Ga3Ir2
_chemical_formula_sum 'Ca12 Ga12 Ir8'
_cell_length_a 8.1175
_cell_length_b 14.9865
_cell_length_c 5.8412
_cell_angle_alpha 90.00
_cell_angle_beta 90.00
_cell_angle_gamma 90.00
_symmetry_space_group_name_H-M 'P n m a'
_symmetry_Int_Tables_number 62
loop_
_symmetry_equiv_pos_as_xyz
'x,y,z'
'-x,-y,-z'
'-x+1/2,-y,z+1/2'
'x+1/2,y,-z+1/2'
'x+1/2,-y+1/2,-z+1/2'
'-x+1/2,y+1/2,z+1/2'
'-x,y+1/2,-z'
'x,-y+1/2,z'
loop_
_atom_site_label
_atom_site_type_symbol
_atom_site_fract_x
_atom_site_fract_y
_atom_site_fract_z
_atom_site_occupancy
Ca1 Ca 0.0480 0.1078 0.1119 1
Ca2 Ca 0.1997 0.2500 0.6217 1
Ga1 Ga 0.1440 0.7500 0.5800 1
Ga2 Ga 0.1782 0.0393 0.6239 1
Ir1 Ir 0.1103 0.5994 0.3937 1
```

Main lines, most intense first (2θ from 10° to 80°):
hkl 1 0 1, 4.741 Å, 2θ = 18.72°, I = 100; hkl 1 3 2, 2.408 Å, 2θ = 37.35°, I = 90; hkl 2 4 1, 2.490 Å, 2θ = 36.07°, I = 55; hkl 0 3 1, 3.796 Å, 2θ = 23.43°, I = 54; hkl 0 2 0, 7.493 Å, 2θ = 11.81°, I = 46; hkl 1 4 2, 2.216 Å, 2θ = 40.72°, I = 45; hkl 2 1 0, 3.918 Å, 2θ = 22.70°, I = 39; hkl 1 1 1, 4.520 Å, 2θ = 19.64°, I = 39; hkl 3 0 1, 2.455 Å, 2θ = 36.60°, I = 38; hkl 0 6 0, 2.498 Å, 2θ = 35.96°, I = 32